Structure and calculated powder diffractogram of Na2TbZn9 (a crystal structure in Alexandria, relaxed with PBE; Cu Kα (λ = 1.5418 Å)).
Peak positions follow from Bragg's law for the DFT cell and can differ from measured ones.

Crystal structure
Cell lengths 9.120, 9.120, 9.120 Å; angles 34.32, 34.32, 34.32 degrees
Sites, in units of the cell vectors:
1 Na 0.144 0.144 0.144
2 Na 0.856 0.856 0.856
3 Tb 0.000 0.000 0.000
4 Zn 0.079 0.584 0.584
5 Zn 0.334 0.334 0.334
6 Zn 0.416 0.416 0.921
7 Zn 0.416 0.921 0.416
8 Zn 0.500 0.500 0.500
9 Zn 0.584 0.079 0.584
10 Zn 0.584 0.584 0.079
11 Zn 0.666 0.666 0.666
12 Zn 0.921 0.416 0.416

Principal peaks in the range 2θ = 5–70°, in order of rising 2θ:
- d 8.574, I = 51
- d 3.774, I = 22
- d 2.691, I = 21
- d 2.321, I = 31
- d 2.293, I = 23
- d 2.279, I = 100
- d 2.144, I = 29
- d 1.461, I = 23